Computed PXRD pattern of Cs3RbCr2Br8 for a wavelength of 1.5418 Å, from a GGA-PBE-relaxed structure.
Peak positions follow from Bragg's law for the DFT cell and can differ from measured ones.

Cell and atoms:
```
data_Cs3RbCr2Br8
_cell_length_a 8.2506
_cell_length_b 8.2506
_cell_length_c 10.4337
_cell_angle_alpha 90.00
_cell_angle_beta 90.00
_cell_angle_gamma 120.00
_space_group_name_H-M_alt 'P -3 m 1'
_space_group_IT_number 164
_space_group_name_Hall '-P 3 2"'
loop_
_atom_site_label
_atom_site_type_symbol
_atom_site_fract_x
_atom_site_fract_y
_atom_site_fract_z
_atom_site_occupancy
Cs1 Cs 0.0000 0.0000 0.0000 1
Cs2 Cs 0.3333 0.6667 0.6186 1
Rb1 Rb 0.0000 0.0000 0.5000 1
Cr1 Cr 0.3333 0.6667 0.1895 1
Br1 Br 0.1771 0.3542 0.3000 1
Br2 Br 0.3333 0.6667 0.9551 1
```

Main lines, most intense first (2θ = 5–70°):
Position (°2θ)	Rel. int.	hkl
21.5	100	1 1 0
26.4	92	0 2 1
30.3	84	2 0 2
43.9	63	2 2 0
27.6	56	1 1 2
28.5	50	0 1 3
42.9	36	0 2 4
42.4	28	2 1 3
54.3	26	0 4 2
25.6	23	0 0 3
37.8	22	3 0 0
21.1	20	0 1 2